Entry 1:
K2Rb4NaHg2: calculated powder XRD pattern (Cu Kα (λ = 1.5418 Å)), based on DFT lattice parameters and positions (PBE).
No peak broadening, texture or thermal motion is included.

Top 6 peaks for 2θ = 10–80°, by angle:
| 2θ/deg | I_rel |
| --- | --- |
| 10.69 | 83.4 |
| 14.10 | 100.0 |
| 17.43 | 47.3 |
| 21.47 | 46.1 |
| 24.30 | 55.2 |
| 30.72 | 65.3 |

Atomic structure:
```
9
Lattice="7.470 0.000 0.000 3.222 8.300 0.000 1.643 0.672 8.833" Properties=species:S:1:pos:R:3 pbc="T T T"
K 2.091 1.576 3.178
K 10.245 7.396 5.655
Rb 3.429 0.723 7.446
Rb 5.344 4.915 2.360
Rb 6.991 4.057 6.473
Rb 8.906 8.249 1.387
Na 1.611 4.150 0.000
Hg 3.254 3.951 5.619
Hg 9.081 5.021 3.214
```

---

Entry 2:
LaAl4Cu2Os: calculated powder XRD pattern (Cu Kα (λ = 1.5418 Å)), based on DFT lattice parameters and positions (PBE).
No peak broadening, texture or thermal motion is included.

Top 6 peaks for 2θ = 10–80°, by angle:
| 2θ/deg | I_rel |
| --- | --- |
| 19.04 | 22.9 |
| 25.28 | 40.8 |
| 27.63 | 100.0 |
| 35.61 | 78.8 |
| 40.69 | 24.7 |
| 43.04 | 77.9 |

Atomic structure:
```
8
Lattice="2.102 1.213 9.320 -2.102 1.213 9.320 0.000 -2.427 9.320" Properties=species:S:1:pos:R:3 pbc="T T T"
La 0.000 0.000 0.000
Al 0.000 0.000 3.780
Al 0.000 0.000 11.415
Al 0.000 0.000 16.545
Al 0.000 0.000 24.180
Cu 0.000 0.000 6.430
Cu 0.000 0.000 21.530
Os 0.000 0.000 13.980
```

---

Entry 3:
NaPbWI: calculated powder XRD pattern (Cu Kα (λ = 1.5418 Å)), based on DFT lattice parameters and positions (PBE).
No peak broadening, texture or thermal motion is included.

Top 6 peaks for 2θ = 10–80°, by angle:
| 2θ/deg | I_rel |
| --- | --- |
| 28.24 | 37.9 |
| 29.97 | 19.4 |
| 34.67 | 100.0 |
| 41.46 | 36.8 |
| 50.00 | 27.3 |
| 62.27 | 18.5 |

Atomic structure:
```
4
Lattice="3.649 0.000 0.000 -1.824 3.160 0.000 0.000 0.000 9.018" Properties=species:S:1:pos:R:3 pbc="T T T"
Na 0.000 0.000 0.000
Pb 1.824 1.053 2.406
W 0.000 0.000 4.402
I 1.824 1.053 6.195
```

---

Entry 4:
Ba2ZnCd4Ge3: calculated powder XRD pattern (Cu Kα (λ = 1.5418 Å)), based on DFT lattice parameters and positions (PBE).
No peak broadening, texture or thermal motion is included.

Top 6 peaks for 2θ = 10–80°, by angle:
| 2θ/deg | I_rel |
| --- | --- |
| 29.80 | 60.1 |
| 30.99 | 100.0 |
| 38.36 | 64.3 |
| 41.16 | 23.9 |
| 43.23 | 29.3 |
| 49.32 | 29.0 |

Atomic structure:
```
10
Lattice="4.693 0.000 0.000 0.000 4.693 0.000 0.000 0.000 11.692" Properties=species:S:1:pos:R:3 pbc="T T T"
Ba 0.000 2.346 2.917
Ba 2.346 0.000 8.774
Zn 0.000 0.000 5.846
Cd 0.000 0.000 0.000
Cd 0.000 2.346 7.339
Cd 2.346 0.000 4.353
Cd 2.346 2.346 0.000
Ge 0.000 2.346 10.080
Ge 2.346 0.000 1.611
Ge 2.346 2.346 5.846
```

---

Entry 5:
NaCaZnF6: calculated powder XRD pattern (Cu Kα (λ = 1.5418 Å)), based on DFT lattice parameters and positions (PBE).
No peak broadening, texture or thermal motion is included.

Top 6 peaks for 2θ = 10–80°, by angle:
| 2θ/deg | I_rel |
| --- | --- |
| 19.62 | 41.3 |
| 24.90 | 100.0 |
| 31.83 | 45.8 |
| 36.57 | 30.3 |
| 48.42 | 71.2 |
| 61.46 | 31.3 |

Atomic structure:
```
18
Lattice="5.056 0.000 0.000 0.000 5.056 0.000 0.000 0.000 10.148" Properties=species:S:1:pos:R:3 pbc="T T T"
Na 0.000 0.000 0.000
Na 2.528 2.528 5.074
Ca 0.000 0.000 6.787
Ca 2.528 2.528 1.713
Zn 0.000 0.000 3.374
Zn 2.528 2.528 8.448
F 0.919 0.919 4.890
F 0.939 0.939 1.892
F 1.127 1.127 8.426
F 1.401 3.655 3.352
F 1.589 3.468 6.966
F 1.610 3.447 9.964
F 3.447 1.610 9.964
F 3.468 1.589 6.966
F 3.655 1.401 3.352
F 3.929 3.929 8.426
F 4.117 4.117 1.892
F 4.138 4.138 4.890
```

---

Entry 6:
SiO2: calculated powder XRD pattern (Cu Kα (λ = 1.5418 Å)), based on DFT lattice parameters and positions (PBE).
No peak broadening, texture or thermal motion is included.

Top 6 peaks for 2θ = 10–80°, by angle:
| 2θ/deg | I_rel |
| --- | --- |
| 12.28 | 100.0 |
| 15.87 | 36.9 |
| 17.40 | 14.9 |
| 20.12 | 41.1 |
| 26.72 | 27.7 |
| 27.67 | 34.3 |

Atomic structure:
```
24
Lattice="7.208 0.000 0.000 0.000 7.208 0.000 0.000 0.000 8.825" Properties=species:S:1:pos:R:3 pbc="T T T"
Si 0.000 2.046 1.614
Si 0.000 2.046 7.212
Si 0.000 5.162 1.614
Si 0.000 5.162 7.212
Si 2.046 0.000 2.799
Si 2.046 0.000 6.026
Si 5.162 0.000 2.799
Si 5.162 0.000 6.026
O 0.000 1.906 0.000
O 0.000 3.604 2.057
O 0.000 3.604 6.768
O 0.000 5.302 0.000
O 1.339 1.339 2.206
O 1.339 1.339 6.619
O 1.339 5.870 2.206
O 1.339 5.870 6.619
O 1.906 0.000 4.413
O 3.604 0.000 2.356
O 3.604 0.000 6.470
O 5.302 0.000 4.413
O 5.870 1.339 2.206
O 5.870 1.339 6.619
O 5.870 5.870 2.206
O 5.870 5.870 6.619
```

---

Entry 7:
PrHo2Zn2In2: calculated powder XRD pattern (Cu Kα (λ = 1.5418 Å)), based on DFT lattice parameters and positions (PBE).
No peak broadening, texture or thermal motion is included.

Top 6 peaks for 2θ = 10–80°, by angle:
| 2θ/deg | I_rel |
| --- | --- |
| 21.90 | 30.9 |
| 31.46 | 81.6 |
| 33.94 | 81.8 |
| 37.98 | 100.0 |
| 51.84 | 24.5 |
| 64.06 | 30.9 |

Atomic structure:
```
7
Lattice="2.369 1.368 9.203 -2.369 1.368 9.203 0.000 -2.736 9.203" Properties=species:S:1:pos:R:3 pbc="T T T"
Pr 0.000 0.000 0.000
Ho 0.000 0.000 3.568
Ho 0.000 0.000 24.041
Zn 0.000 0.000 11.272
Zn 0.000 0.000 16.337
In 0.000 0.000 7.154
In 0.000 0.000 20.456
```

---

Entry 8:
Cs2NpAlO6: calculated powder XRD pattern (Cu Kα (λ = 1.5418 Å)), based on DFT lattice parameters and positions (PBE).
No peak broadening, texture or thermal motion is included.

Top 6 peaks for 2θ = 10–80°, by angle:
| 2θ/deg | I_rel |
| --- | --- |
| 15.39 | 38.4 |
| 22.72 | 100.0 |
| 26.81 | 83.9 |
| 35.42 | 46.4 |
| 37.14 | 33.7 |
| 44.98 | 31.3 |

Atomic structure:
```
10
Lattice="6.650 0.000 0.000 -3.325 5.759 0.000 0.000 0.000 5.337" Properties=species:S:1:pos:R:3 pbc="T T T"
Cs 0.000 3.839 0.974
Cs 3.325 1.920 4.363
Np 0.000 0.000 2.668
Al 0.000 0.000 0.000
O 0.000 1.486 4.062
O -2.038 5.016 4.062
O 1.287 0.743 1.274
O 2.038 5.016 4.062
O 5.362 0.743 1.274
O 3.325 4.272 1.274
```

---

Entry 9:
Pr4TlSi: calculated powder XRD pattern (Cu Kα (λ = 1.5418 Å)), based on DFT lattice parameters and positions (PBE).
No peak broadening, texture or thermal motion is included.

Top 6 peaks for 2θ = 10–80°, by angle:
| 2θ/deg | I_rel |
| --- | --- |
| 29.70 | 53.4 |
| 29.93 | 80.1 |
| 30.71 | 58.3 |
| 32.14 | 100.0 |
| 32.93 | 61.6 |
| 52.71 | 36.7 |

Atomic structure:
```
12
Lattice="6.083 0.000 0.000 0.000 6.946 0.000 -1.295 0.000 8.742" Properties=species:S:1:pos:R:3 pbc="T T T"
Pr 0.532 0.095 2.223
Pr 0.532 3.378 2.223
Pr 1.232 1.736 5.627
Pr 0.914 5.209 8.331
Pr 3.874 1.736 0.411
Pr 3.556 5.209 3.115
Pr 4.256 3.567 6.519
Pr 4.256 6.851 6.519
Tl 0.906 5.209 5.079
Tl 3.882 1.736 3.663
Si -0.289 1.736 8.387
Si 5.078 5.209 0.355
```

---

Entry 10:
Zn3SeF: calculated powder XRD pattern (Cu Kα (λ = 1.5418 Å)), based on DFT lattice parameters and positions (PBE).
No peak broadening, texture or thermal motion is included.

Top 6 peaks for 2θ = 10–80°, by angle:
| 2θ/deg | I_rel |
| --- | --- |
| 22.40 | 100.0 |
| 36.32 | 51.9 |
| 41.85 | 38.2 |
| 43.77 | 53.3 |
| 46.32 | 54.0 |
| 56.60 | 27.2 |

Atomic structure:
```
5
Lattice="4.317 0.000 0.000 0.003 4.407 0.000 2.158 1.369 5.049" Properties=species:S:1:pos:R:3 pbc="T T T"
Zn 0.000 0.000 0.000
Zn 2.146 3.519 3.729
Zn 2.167 1.281 2.352
Se 2.160 3.459 0.913
F 4.316 1.182 1.872
```

---

Entry 11:
Sm6Er5Mg2: calculated powder XRD pattern (Cu Kα (λ = 1.5418 Å)), based on DFT lattice parameters and positions (PBE).
No peak broadening, texture or thermal motion is included.

Top 6 peaks for 2θ = 10–80°, by angle:
| 2θ/deg | I_rel |
| --- | --- |
| 28.27 | 96.1 |
| 29.85 | 87.3 |
| 31.54 | 91.9 |
| 32.47 | 100.0 |
| 32.89 | 73.9 |
| 36.54 | 46.8 |

Atomic structure:
```
26
Lattice="10.419 0.000 0.000 0.000 22.696 0.000 0.000 0.000 3.524" Properties=species:S:1:pos:R:3 pbc="T T T"
Sm 0.182 2.569 0.000
Sm 1.498 8.690 0.000
Sm 1.783 14.379 1.762
Sm 3.426 3.031 1.762
Sm 3.712 20.038 0.000
Sm 5.028 13.917 0.000
Sm 5.392 8.779 0.000
Sm 6.708 2.658 0.000
Sm 6.993 19.664 1.762
Sm 8.636 8.317 1.762
Sm 8.921 14.006 0.000
Sm 10.237 20.127 0.000
Er 0.000 11.348 1.762
Er 0.816 5.670 1.762
Er 1.722 22.568 1.762
Er 3.488 11.220 1.762
Er 4.394 17.018 1.762
Er 5.210 0.000 1.762
Er 6.026 5.678 1.762
Er 6.932 11.476 1.762
Er 8.697 0.128 1.762
Er 9.603 17.026 1.762
Mg 1.789 17.280 0.000
Mg 3.421 5.932 0.000
Mg 6.999 16.764 0.000
Mg 8.630 5.416 0.000
```

---

Entry 12:
Hf6Zr2In3: calculated powder XRD pattern (Cu Kα (λ = 1.5418 Å)), based on DFT lattice parameters and positions (PBE).
No peak broadening, texture or thermal motion is included.

Top 6 peaks for 2θ = 10–80°, by angle:
| 2θ/deg | I_rel |
| --- | --- |
| 12.49 | 33.7 |
| 29.03 | 35.0 |
| 33.46 | 32.6 |
| 38.61 | 25.0 |
| 38.77 | 100.0 |
| 52.00 | 18.7 |

Atomic structure:
```
11
Lattice="8.183 0.000 0.000 -4.091 7.087 0.000 0.000 0.000 4.664" Properties=species:S:1:pos:R:3 pbc="T T T"
Hf -0.938 1.624 0.000
Hf -3.197 5.538 2.332
Hf 0.894 1.548 2.332
Hf 1.875 0.000 0.000
Hf 3.154 5.462 0.000
Hf 6.395 0.000 2.332
Zr 0.000 4.724 2.332
Zr 4.091 2.362 2.332
In -2.338 4.049 0.000
In 1.754 3.038 0.000
In 4.675 0.000 0.000
```